Record 1
Computed powder XRD pattern
Compound: Ba3NaTl2O6
Radiation: Cu Kα (weighted mean of Kα1 and Kα2)
Structure: a crystal structure in Alexandria, relaxed with GGA-PBE
Kinematic intensities with the Lorentz-polarization factor, no thermal factor.

Largest 6 diffraction maxima, in order of falling intensity, 2θ = 15–90°:
- 27.84 deg, intensity 100
- 30.52 deg, intensity 82
- 41.78 deg, intensity 45
- 50.96 deg, intensity 40
- 49.26 deg, intensity 21
- 66.53 deg, intensity 18

Atomic structure:
Cell: 6.408 6.408 6.898 Å, 90.00 90.00 120.00°
Sites, in units of the cell vectors:
Ba: 0.000 0.000 0.000
Ba: 0.333 0.667 0.607
Ba: 0.667 0.333 0.393
Na: 0.000 0.000 0.500
Tl: 0.333 0.667 0.131
Tl: 0.667 0.333 0.869
O: 0.169 0.338 0.295
O: 0.169 0.831 0.295
O: 0.338 0.169 0.705
O: 0.662 0.831 0.295
O: 0.831 0.169 0.705
O: 0.831 0.662 0.705


Record 2
Computed powder XRD pattern
Compound: PdPb4Au
Radiation: Cu Kα (weighted mean of Kα1 and Kα2)
Structure: a crystal structure in Alexandria, relaxed with GGA-PBE
Kinematic intensities with the Lorentz-polarization factor, no thermal factor.

Largest 6 diffraction maxima, in order of falling intensity, 2θ = 15–90°:
- 31.65 deg, intensity 100
- 39.54 deg, intensity 68
- 35.26 deg, intensity 38
- 63.20 deg, intensity 22
- 54.88 deg, intensity 22
- 54.74 deg, intensity 17

Atomic structure:
Cell: 5.885 5.885 5.885 Å, 104.40 104.40 120.18°
Sites, in units of the cell vectors:
Pd: 0.000 0.000 0.000
Pb: 0.089 0.589 0.179
Pb: 0.411 0.911 0.821
Pb: 0.589 0.411 0.500
Pb: 0.911 0.089 0.500
Au: 0.500 0.500 0.000


Record 3
Computed powder XRD pattern
Compound: Pu3Ga11
Radiation: Cu Kα (weighted mean of Kα1 and Kα2)
Structure: a crystal structure in Alexandria, relaxed with GGA-PBE
Kinematic intensities with the Lorentz-polarization factor, no thermal factor.

Largest 6 diffraction maxima, in order of falling intensity, 2θ = 15–90°:
- 34.81 deg, intensity 100
- 42.25 deg, intensity 31
- 33.98 deg, intensity 30
- 34.20 deg, intensity 26
- 29.76 deg, intensity 22
- 22.58 deg, intensity 19

Atomic structure:
Cell: 8.351 8.351 8.351 Å, 150.31 106.01 81.69°
Sites, in units of the cell vectors:
Pu: 0.000 0.000 0.000
Pu: 0.317 0.317 0.000
Pu: 0.683 0.683 0.000
Ga: 0.035 0.660 0.375
Ga: 0.126 0.854 0.273
Ga: 0.285 0.660 0.625
Ga: 0.292 0.500 0.792
Ga: 0.419 0.146 0.273
Ga: 0.500 0.000 0.500
Ga: 0.581 0.854 0.727
Ga: 0.708 0.500 0.208
Ga: 0.715 0.340 0.375
Ga: 0.874 0.146 0.727
Ga: 0.965 0.340 0.625


Record 4
Computed powder XRD pattern
Compound: CsCaTbF6
Radiation: Cu Kα (weighted mean of Kα1 and Kα2)
Structure: a crystal structure in Alexandria, relaxed with GGA-PBE
Kinematic intensities with the Lorentz-polarization factor, no thermal factor.

Largest 6 diffraction maxima, in order of falling intensity, 2θ = 15–90°:
- 24.95 deg, intensity 100
- 26.45 deg, intensity 36
- 40.10 deg, intensity 22
- 43.40 deg, intensity 19
- 21.69 deg, intensity 18
- 51.06 deg, intensity 13

Atomic structure:
Cell: 8.341 8.341 8.341 Å, 121.16 119.47 89.46°
Sites, in units of the cell vectors:
Cs: 0.323 0.073 0.250
Cs: 0.677 0.927 0.750
Ca: 0.000 0.000 0.500
Ca: 0.000 0.500 0.000
Tb: 0.000 0.500 0.500
Tb: 0.500 0.500 0.000
F: 0.062 0.424 0.247
F: 0.062 0.814 0.638
F: 0.075 0.825 0.250
F: 0.312 0.562 0.750
F: 0.323 0.186 0.747
F: 0.323 0.576 0.138
F: 0.677 0.424 0.862
F: 0.677 0.814 0.253
F: 0.688 0.438 0.250
F: 0.925 0.175 0.750
F: 0.938 0.186 0.362
F: 0.938 0.576 0.753


Record 5
Computed powder XRD pattern
Compound: TiGeIrRh
Radiation: Cu Kα (weighted mean of Kα1 and Kα2)
Structure: a crystal structure in Alexandria, relaxed with GGA-PBE
Kinematic intensities with the Lorentz-polarization factor, no thermal factor.

Largest 6 diffraction maxima, in order of falling intensity, 2θ = 15–90°:
- 40.38 deg, intensity 100
- 45.36 deg, intensity 36
- 80.38 deg, intensity 26
- 69.85 deg, intensity 19
- 31.64 deg, intensity 16
- 24.43 deg, intensity 16

Atomic structure:
Cell: 4.612 4.612 4.612 Å, 128.61 128.61 75.63°
Sites, in units of the cell vectors:
Ti: 0.000 0.000 0.000
Ge: 0.500 0.500 0.000
Ir: 0.250 0.750 0.500
Rh: 0.750 0.250 0.500


Record 6
Computed powder XRD pattern
Compound: TlBi6Pd12
Radiation: Cu Kα (weighted mean of Kα1 and Kα2)
Structure: a crystal structure in Alexandria, relaxed with GGA-PBE
Kinematic intensities with the Lorentz-polarization factor, no thermal factor.

Largest 6 diffraction maxima, in order of falling intensity, 2θ = 15–90°:
- 24.83 deg, intensity 100
- 40.62 deg, intensity 85
- 36.46 deg, intensity 81
- 37.33 deg, intensity 57
- 38.00 deg, intensity 57
- 36.63 deg, intensity 53

Atomic structure:
Cell: 7.548 7.548 7.548 Å, 102.25 102.25 102.25°
Sites, in units of the cell vectors:
Tl: 0.000 0.000 0.000
Bi: 0.134 0.231 0.471
Bi: 0.231 0.471 0.134
Bi: 0.471 0.134 0.231
Bi: 0.529 0.866 0.769
Bi: 0.769 0.529 0.866
Bi: 0.866 0.769 0.529
Pd: 0.030 0.734 0.224
Pd: 0.184 0.625 0.549
Pd: 0.224 0.030 0.734
Pd: 0.266 0.776 0.970
Pd: 0.375 0.451 0.816
Pd: 0.451 0.816 0.375
Pd: 0.549 0.184 0.625
Pd: 0.625 0.549 0.184
Pd: 0.734 0.224 0.030
Pd: 0.776 0.970 0.266
Pd: 0.816 0.375 0.451
Pd: 0.970 0.266 0.776